Record 1
# Ga2NiCl8
Simulated powder diffractogram, λ = 1.5418 Å (Cu Kα). Input: a crystal structure in OQMD, relaxed with PBE.
Peak positions follow from Bragg's law for the DFT cell and can differ from measured ones.

Atomic structure:
```
Ga2NiCl8
1.0
8.486 -3.811 0.000
8.486 3.811 0.000
-7.636 0.000 8.714
Ga Ni Cl
4 2 16
Direct
0.161 0.664 0.964
0.336 0.839 0.536
0.664 0.161 0.464
0.839 0.336 0.036
0.497 0.503 0.750
0.503 0.497 0.250
0.152 0.174 0.056
0.174 0.152 0.556
0.175 0.653 0.774
0.209 0.646 0.305
0.338 0.355 0.982
0.347 0.825 0.726
0.354 0.791 0.195
0.355 0.338 0.482
0.645 0.662 0.518
0.646 0.209 0.805
0.653 0.175 0.274
0.662 0.645 0.018
0.791 0.354 0.695
0.825 0.347 0.226
0.826 0.848 0.444
0.848 0.826 0.944
```

The 10 most intense peaks (10° ≤ 2θ ≤ 90°), most intense first:
| 2θ/deg | I_rel |
| --- | --- |
| 31.61 | 100 |
| 13.88 | 79 |
| 19.87 | 58 |
| 49.04 | 46 |
| 28.00 | 46 |
| 13.53 | 46 |
| 42.00 | 33 |
| 19.52 | 31 |
| 25.87 | 28 |
| 54.83 | 26 |


Record 2
# TbSmGa2Cl2
Simulated powder diffractogram, λ = 1.5418 Å (Cu Kα). Input: a crystal structure in OQMD, relaxed with PBE.
Peak positions follow from Bragg's law for the DFT cell and can differ from measured ones.

Atomic structure:
```
TbSmGa2Cl2
1.0
4.124 0.000 0.000
-2.062 3.571 0.000
0.000 0.000 11.038
Tb Sm Ga Cl
1 1 2 2
Direct
0.000 0.000 0.000
0.000 0.000 0.620
0.333 0.667 0.843
0.667 0.333 0.782
0.333 0.667 0.474
0.667 0.333 0.141
```

The 10 most intense peaks (10° ≤ 2θ ≤ 90°), most intense first:
| 2θ/deg | I_rel |
| --- | --- |
| 35.01 | 100 |
| 29.80 | 89 |
| 43.91 | 50 |
| 24.93 | 31 |
| 48.48 | 26 |
| 57.35 | 24 |
| 74.94 | 21 |
| 44.71 | 17 |
| 53.97 | 17 |
| 61.54 | 16 |


Record 3
# TbYGa2Cl2
Simulated powder diffractogram, λ = 1.5418 Å (Cu Kα). Input: a crystal structure in OQMD, relaxed with PBE.
Peak positions follow from Bragg's law for the DFT cell and can differ from measured ones.

Atomic structure:
```
TbYGa2Cl2
1.0
4.088 0.000 0.000
-2.044 3.541 0.000
0.000 0.000 10.964
Tb Y Ga Cl
1 1 2 2
Direct
0.000 0.000 0.000
0.000 0.000 0.621
0.333 0.667 0.842
0.667 0.333 0.779
0.333 0.667 0.478
0.667 0.333 0.144
```

The 10 most intense peaks (10° ≤ 2θ ≤ 90°), most intense first:
| 2θ/deg | I_rel |
| --- | --- |
| 35.30 | 100 |
| 30.05 | 91 |
| 44.31 | 51 |
| 48.86 | 25 |
| 57.88 | 23 |
| 25.15 | 21 |
| 75.68 | 21 |
| 45.12 | 20 |
| 54.47 | 17 |
| 72.74 | 14 |


Record 4
# GdH12Cl3O6
Simulated powder diffractogram, λ = 1.5418 Å (Cu Kα). Input: a crystal structure in OQMD, relaxed with PBE.
Peak positions follow from Bragg's law for the DFT cell and can differ from measured ones.

Atomic structure:
```
GdH12Cl3O6
1.0
7.752 0.000 0.000
0.000 6.389 0.000
-7.206 0.000 9.374
Gd H Cl O
2 24 6 12
Direct
0.000 0.154 0.250
0.000 0.846 0.750
0.035 0.444 0.889
0.035 0.556 0.389
0.203 0.475 0.181
0.203 0.525 0.681
0.243 0.096 0.129
0.243 0.904 0.629
0.328 0.091 0.737
0.328 0.909 0.237
0.374 0.334 0.537
0.374 0.666 0.037
0.476 0.250 0.465
0.476 0.750 0.965
0.524 0.250 0.035
0.524 0.750 0.535
0.626 0.334 0.963
0.626 0.666 0.463
0.672 0.091 0.763
0.672 0.909 0.263
0.757 0.096 0.371
0.757 0.904 0.871
0.797 0.475 0.319
0.797 0.525 0.819
0.965 0.444 0.611
0.965 0.556 0.111
0.206 0.173 0.946
0.206 0.827 0.446
0.500 0.375 0.750
0.500 0.625 0.250
0.794 0.173 0.554
0.794 0.827 0.054
0.056 0.427 0.142
0.056 0.573 0.642
0.262 0.049 0.216
0.262 0.951 0.716
0.337 0.298 0.443
0.337 0.702 0.943
0.663 0.298 0.057
0.663 0.702 0.557
0.738 0.049 0.284
0.738 0.951 0.784
0.944 0.427 0.358
0.944 0.573 0.858
```

The 10 most intense peaks (10° ≤ 2θ ≤ 90°), most intense first:
| 2θ/deg | I_rel |
| --- | --- |
| 14.41 | 100 |
| 15.26 | 100 |
| 25.74 | 88 |
| 16.79 | 84 |
| 26.73 | 75 |
| 18.00 | 74 |
| 22.98 | 68 |
| 18.93 | 54 |
| 40.38 | 51 |
| 20.67 | 44 |


Record 5
# GdHg3S4Cl
Simulated powder diffractogram, λ = 1.5418 Å (Cu Kα). Input: a crystal structure in OQMD, relaxed with PBE.
Peak positions follow from Bragg's law for the DFT cell and can differ from measured ones.

Atomic structure:
```
GdHg3S4Cl
1.0
7.907 0.000 0.000
-3.953 6.848 0.000
0.000 0.000 8.203
Gd Hg S Cl
2 6 8 2
Direct
0.000 0.000 0.000
0.000 0.000 0.500
0.014 0.507 0.174
0.493 0.507 0.174
0.493 0.986 0.174
0.507 0.014 0.674
0.507 0.493 0.674
0.986 0.493 0.674
0.143 0.286 0.745
0.143 0.857 0.745
0.286 0.143 0.245
0.333 0.667 0.021
0.667 0.333 0.521
0.714 0.857 0.745
0.857 0.143 0.245
0.857 0.714 0.245
0.333 0.667 0.445
0.667 0.333 0.945
```

The 10 most intense peaks (10° ≤ 2θ ≤ 90°), most intense first:
| 2θ/deg | I_rel |
| --- | --- |
| 26.03 | 100 |
| 34.11 | 61 |
| 31.43 | 44 |
| 45.91 | 38 |
| 21.67 | 33 |
| 25.31 | 31 |
| 41.24 | 24 |
| 51.98 | 22 |
| 51.31 | 19 |
| 45.48 | 17 |


Record 6
# Gd11Ir3Cl15
Simulated powder diffractogram, λ = 1.5418 Å (Cu Kα). Input: a crystal structure in OQMD, relaxed with PBE.
Peak positions follow from Bragg's law for the DFT cell and can differ from measured ones.

Atomic structure:
```
Gd11Ir3Cl15
1.0
12.246 0.000 0.000
-6.123 10.606 0.000
0.000 0.000 12.633
Gd Ir Cl
22 6 30
Direct
0.028 0.368 0.106
0.028 0.368 0.394
0.071 0.679 0.250
0.321 0.392 0.250
0.333 0.667 0.077
0.333 0.667 0.423
0.340 0.972 0.106
0.340 0.972 0.394
0.368 0.340 0.606
0.368 0.340 0.894
0.392 0.071 0.750
0.608 0.929 0.250
0.632 0.660 0.106
0.632 0.660 0.394
0.660 0.028 0.606
0.660 0.028 0.894
0.667 0.333 0.577
0.667 0.333 0.923
0.679 0.608 0.750
0.929 0.321 0.750
0.972 0.632 0.606
0.972 0.632 0.894
0.189 0.530 0.250
0.341 0.811 0.250
0.470 0.659 0.250
0.530 0.341 0.750
0.659 0.189 0.750
0.811 0.470 0.750
0.086 0.814 0.068
0.086 0.814 0.432
0.127 0.522 0.580
0.127 0.522 0.920
0.128 0.809 0.750
0.186 0.273 0.068
0.186 0.273 0.432
0.191 0.319 0.750
0.273 0.086 0.568
0.273 0.086 0.932
0.319 0.128 0.250
0.394 0.873 0.580
0.394 0.873 0.920
0.478 0.606 0.580
0.478 0.606 0.920
0.522 0.394 0.080
0.522 0.394 0.420
0.606 0.127 0.080
0.606 0.127 0.420
0.681 0.872 0.750
0.727 0.914 0.068
0.727 0.914 0.432
0.809 0.681 0.250
0.814 0.727 0.568
0.814 0.727 0.932
0.872 0.191 0.250
0.873 0.478 0.080
0.873 0.478 0.420
0.914 0.186 0.568
0.914 0.186 0.932
```

The 10 most intense peaks (10° ≤ 2θ ≤ 90°), most intense first:
| 2θ/deg | I_rel |
| --- | --- |
| 10.89 | 100 |
| 36.27 | 34 |
| 25.19 | 26 |
| 25.67 | 26 |
| 42.94 | 25 |
| 30.80 | 20 |
| 39.70 | 15 |
| 47.15 | 12 |
| 37.29 | 9 |
| 37.65 | 8 |


Record 7
# NdGdSbCl2
Simulated powder diffractogram, λ = 1.5418 Å (Cu Kα). Input: a crystal structure in OQMD, relaxed with PBE.
Peak positions follow from Bragg's law for the DFT cell and can differ from measured ones.

Atomic structure:
```
NdGdSbCl2
1.0
4.255 0.000 0.000
-2.127 3.685 0.000
0.000 0.000 10.677
Nd Gd Sb Cl
1 1 1 2
Direct
0.000 0.000 0.000
0.667 0.333 0.661
0.333 0.667 0.825
0.000 0.000 0.520
0.667 0.333 0.149
```

The 10 most intense peaks (10° ≤ 2θ ≤ 90°), most intense first:
| 2θ/deg | I_rel |
| --- | --- |
| 29.45 | 100 |
| 41.79 | 38 |
| 25.57 | 37 |
| 42.49 | 36 |
| 35.05 | 29 |
| 52.55 | 19 |
| 43.37 | 16 |
| 69.79 | 16 |
| 68.78 | 16 |
| 77.27 | 12 |


Record 8
# GdTmNi2Cl2
Simulated powder diffractogram, λ = 1.5418 Å (Cu Kα). Input: a crystal structure in OQMD, relaxed with PBE.
Peak positions follow from Bragg's law for the DFT cell and can differ from measured ones.

Atomic structure:
```
GdTmNi2Cl2
1.0
3.921 0.000 0.000
-1.960 3.396 0.000
0.000 0.000 10.543
Gd Tm Ni Cl
1 1 2 2
Direct
0.000 0.000 0.000
0.000 0.000 0.649
0.333 0.667 0.833
0.667 0.333 0.809
0.333 0.667 0.490
0.667 0.333 0.165
```

The 10 most intense peaks (10° ≤ 2θ ≤ 90°), most intense first:
| 2θ/deg | I_rel |
| --- | --- |
| 36.81 | 100 |
| 31.34 | 55 |
| 46.31 | 40 |
| 26.24 | 33 |
| 60.57 | 23 |
| 79.50 | 21 |
| 72.20 | 18 |
| 47.15 | 16 |
| 27.60 | 15 |
| 64.95 | 11 |


Record 9
# GdSClO4
Simulated powder diffractogram, λ = 1.5418 Å (Cu Kα). Input: a crystal structure in OQMD, relaxed with PBE.
Peak positions follow from Bragg's law for the DFT cell and can differ from measured ones.

Atomic structure:
```
GdSClO4
1.0
9.365 0.000 0.000
0.000 6.536 0.000
-1.745 0.000 6.526
Gd S Cl O
4 4 4 16
Direct
0.234 0.098 0.173
0.234 0.402 0.673
0.766 0.598 0.327
0.766 0.902 0.827
0.356 0.560 0.209
0.356 0.940 0.709
0.644 0.060 0.291
0.644 0.440 0.791
0.027 0.139 0.805
0.027 0.361 0.305
0.973 0.639 0.695
0.973 0.861 0.195
0.276 0.073 0.530
0.276 0.427 0.030
0.280 0.744 0.696
0.280 0.756 0.196
0.345 0.060 0.890
0.345 0.440 0.390
0.491 0.088 0.298
0.491 0.412 0.798
0.509 0.588 0.202
0.509 0.912 0.702
0.655 0.560 0.610
0.655 0.940 0.110
0.720 0.244 0.804
0.720 0.256 0.304
0.724 0.573 0.970
0.724 0.927 0.470
```

The 10 most intense peaks (10° ≤ 2θ ≤ 90°), most intense first:
| 2θ/deg | I_rel |
| --- | --- |
| 19.62 | 100 |
| 16.73 | 85 |
| 19.93 | 74 |
| 27.32 | 65 |
| 32.36 | 56 |
| 34.56 | 52 |
| 30.60 | 49 |
| 26.54 | 39 |
| 31.06 | 37 |
| 49.14 | 37 |


Record 10
# Gd3Si2Cl5O6
Simulated powder diffractogram, λ = 1.5418 Å (Cu Kα). Input: a crystal structure in OQMD, relaxed with PBE.
Peak positions follow from Bragg's law for the DFT cell and can differ from measured ones.

Atomic structure:
```
Gd3Si2Cl5O6
1.0
5.321 -5.203 0.000
5.321 5.203 0.000
-2.676 0.000 11.399
Gd Si Cl O
6 4 10 12
Direct
0.000 0.500 0.500
0.083 0.585 0.832
0.415 0.917 0.168
0.500 0.000 0.500
0.585 0.083 0.832
0.917 0.415 0.168
0.109 0.818 0.355
0.182 0.891 0.645
0.818 0.109 0.355
0.891 0.182 0.645
0.112 0.677 0.080
0.227 0.227 0.162
0.318 0.318 0.503
0.323 0.888 0.920
0.383 0.383 0.860
0.617 0.617 0.140
0.677 0.112 0.080
0.682 0.682 0.497
0.773 0.773 0.838
0.888 0.323 0.920
0.044 0.607 0.327
0.048 0.048 0.696
0.132 0.693 0.673
0.142 0.858 0.500
0.307 0.868 0.327
0.393 0.956 0.673
0.607 0.044 0.327
0.693 0.132 0.673
0.858 0.142 0.500
0.868 0.307 0.327
0.952 0.952 0.304
0.956 0.393 0.673
```

The 10 most intense peaks (10° ≤ 2θ ≤ 90°), most intense first:
| 2θ/deg | I_rel |
| --- | --- |
| 17.07 | 100 |
| 24.24 | 27 |
| 23.41 | 25 |
| 32.23 | 24 |
| 45.10 | 23 |
| 25.73 | 22 |
| 38.73 | 22 |
| 36.67 | 19 |
| 34.47 | 19 |
| 33.69 | 17 |